(1)
Theoretical PXRD pattern
Compound: MnP2O8
Radiation: Cu Kα
Structure: a crystal structure in the Materials Project, relaxed with GGA+U
Neutral-atom scattering factors, no anomalous dispersion.

```
22
Lattice="7.847 0.000 0.000 0.000 6.538 0.000 -5.850 0.000 7.700" Properties=species:S:1:pos:R:3 pbc="T T T"
Mn 0.000 0.000 0.000
Mn -2.925 3.269 3.850
P -2.967 1.429 6.693
P -0.042 1.841 2.843
P 2.040 4.698 4.857
P 4.964 5.110 1.007
O -4.340 0.837 6.498
O -1.416 2.432 2.648
O -1.839 4.520 4.417
O 1.086 5.287 0.567
O 0.551 1.181 1.628
O -2.374 2.088 5.478
O 3.623 1.408 0.265
O 0.699 1.862 4.115
O 1.299 4.677 3.585
O -1.626 5.131 7.435
O 4.371 4.450 2.221
O 1.446 5.357 6.071
O 0.911 1.251 7.133
O 3.836 2.018 3.283
O 3.413 4.107 5.052
O 6.338 5.701 1.202
```

The 12 most intense peaks (15° ≤ 2θ ≤ 90°), sorted by position:
17.80°, I = 1000, hkl 0 1 1; 17.90°, I = 412, hkl 1 1 -1; 19.65°, I = 470, hkl 1 1 0; 23.42°, I = 290, hkl 2 0 -2; 26.88°, I = 368, hkl 0 1 2; 27.15°, I = 389, hkl 2 1 -2; 27.28°, I = 115, hkl 0 2 0; 30.87°, I = 157, hkl 1 2 0; 31.86°, I = 100, hkl 2 1 -3; 33.08°, I = 230, hkl 1 2 -2; 37.18°, I = 178, hkl 2 0 -4; 39.91°, I = 171, hkl 2 2 0

---

(2)
Theoretical PXRD pattern
Compound: Mn3P2O8
Radiation: Cu Kα
Structure: a crystal structure in the Materials Project, relaxed with GGA+U
Neutral-atom scattering factors, no anomalous dispersion.

```
26
Lattice="5.316 0.000 0.000 0.000 6.777 0.000 -4.510 0.000 9.061" Properties=species:S:1:pos:R:3 pbc="T T T"
Mn 0.000 0.000 0.000
Mn -2.255 3.389 4.530
Mn -0.165 1.060 3.374
Mn -2.420 2.329 7.904
Mn 3.226 4.449 1.157
Mn 0.971 5.717 5.687
P 0.440 4.517 2.786
P -1.815 5.649 7.316
P 2.621 1.129 1.744
P 0.366 2.260 6.275
O 0.044 4.806 1.313
O -2.211 5.360 5.843
O -2.638 0.092 7.819
O -0.383 3.297 3.289
O 1.084 0.863 1.657
O -1.171 2.526 6.188
O -2.143 4.450 8.257
O 0.112 5.716 3.727
O 0.693 1.062 5.334
O 2.949 2.327 0.804
O 1.977 4.251 2.873
O -0.278 5.915 7.403
O 1.189 3.480 5.772
O 3.444 6.686 1.241
O 3.017 1.417 3.218
O 0.762 1.972 7.748
```

The 12 most intense peaks (15° ≤ 2θ ≤ 90°), sorted by position:
20.16°, I = 272, hkl 1 0 -2; 21.29°, I = 455, hkl 1 1 -1; 24.10°, I = 274, hkl 1 1 -2; 28.11°, I = 1000, hkl 0 2 1; 30.11°, I = 467, hkl 1 1 -3; 32.81°, I = 737, hkl 1 0 2; 33.86°, I = 503, hkl 2 0 -2; 36.41°, I = 256, hkl 1 2 1; 37.99°, I = 229, hkl 1 1 -4; 40.98°, I = 209, hkl 2 0 -4; 41.18°, I = 360, hkl 0 3 1; 54.96°, I = 313, hkl 2 3 -3